Record 1
Starting from a crystal structure in the Materials Project, relaxed with GGA-PBE, the PXRD pattern of Lu5In3 was simulated for λ = 1.5418 Å (Cu Kα).
Peak positions follow from Bragg's law for the DFT cell and can differ from measured ones.

Largest 10 diffraction maxima, by intensity, 2θ = 10–90°:
Position (°2θ)  I/Imax
33.83  100
34.21  90
35.07  50
30.82  34
52.73  28
49.80  23
29.85  23
55.62  18
27.44  16
53.95  14

Cell and atoms:
```
data_Lu5In3
_chemical_formula_sum 'Lu20 In12'
_cell_length_a 15.363
_cell_length_b 8.856
_cell_length_c 6.501
_cell_angle_alpha 90.00
_cell_angle_beta 90.00
_cell_angle_gamma 90.00
_symmetry_space_group_name_H-M 'C m c m'
_symmetry_Int_Tables_number 63
_symmetry_space_group_name_Hall '-C 2c 2'
loop_
_atom_site_label
_atom_site_type_symbol
_atom_site_fract_x
_atom_site_fract_y
_atom_site_fract_z
_atom_site_occupancy
Lu1 Lu 0.000 0.249 0.250 1
Lu2 Lu 0.125 0.125 0.750 1
Lu3 Lu 0.167 0.500 0.000 1
In1 In 0.000 0.393 0.750 1
In2 In 0.196 0.196 0.250 1
```


Record 2
Starting from a crystal structure in the Materials Project, relaxed with GGA-PBE, the PXRD pattern of Ba3Y3Cu3O10 was simulated for λ = 1.5418 Å (Cu Kα).
Peak positions follow from Bragg's law for the DFT cell and can differ from measured ones.

Largest 10 diffraction maxima, by intensity, 2θ = 10–90°:
Position (°2θ)  I/Imax
31.43  100
30.58  65
31.33  35
54.89  24
43.85  20
46.21  18
54.97  13
54.74  12
56.45  11
43.73  11

Cell and atoms:
```
data_Ba3Y3Cu3O10
_chemical_formula_sum 'Ba6 Y6 Cu6 O20'
_cell_length_a 5.692
_cell_length_b 8.888
_cell_length_c 13.014
_cell_angle_alpha 74.71
_cell_angle_beta 78.06
_cell_angle_gamma 74.19
_symmetry_space_group_name_H-M 'P 1'
_symmetry_Int_Tables_number 1
_symmetry_space_group_name_Hall 'P 1'
loop_
_atom_site_label
_atom_site_type_symbol
_atom_site_fract_x
_atom_site_fract_y
_atom_site_fract_z
_atom_site_occupancy
Ba1 Ba 0.000 0.000 0.000 1
Ba2 Ba 0.108 0.142 0.653 1
Ba3 Ba 0.376 0.338 0.984 1
Ba4 Ba 0.488 0.439 0.650 1
Ba5 Ba 0.665 0.704 0.991 1
Ba6 Ba 0.794 0.777 0.682 1
Y1 Y 0.120 0.615 0.178 1
Y2 Y 0.238 0.225 0.346 1
Y3 Y 0.351 0.840 0.503 1
Y4 Y 0.565 0.557 0.345 1
Y5 Y 0.804 0.279 0.175 1
Y6 Y 0.904 0.897 0.339 1
Cu1 Cu 0.028 0.514 0.468 1
Cu2 Cu 0.239 0.726 0.837 1
Cu3 Cu 0.446 0.936 0.215 1
Cu4 Cu 0.551 0.068 0.831 1
Cu5 Cu 0.692 0.187 0.473 1
Cu6 Cu 0.917 0.393 0.847 1
O1 O 0.001 0.429 0.700 1
O2 O 0.023 0.028 0.458 1
O3 O 0.124 0.094 0.231 1
O4 O 0.171 0.665 0.005 1
O5 O 0.196 0.682 0.449 1
O6 O 0.278 0.773 0.227 1
O7 O 0.298 0.779 0.674 1
O8 O 0.361 0.355 0.463 1
O9 O 0.444 0.428 0.231 1
O10 O 0.476 0.027 0.979 1
O11 O 0.541 0.034 0.443 1
O12 O 0.556 0.578 0.842 1
O13 O 0.585 0.122 0.683 1
O14 O 0.615 0.090 0.220 1
O15 O 0.710 0.681 0.454 1
O16 O 0.762 0.772 0.221 1
O17 O 0.861 0.348 0.479 1
O18 O 0.875 0.333 0.999 1
O19 O 0.927 0.879 0.838 1
O20 O 0.932 0.422 0.254 1
```


Record 3
Starting from a crystal structure in the Materials Project, relaxed with GGA-PBE, the PXRD pattern of Ga3Cu3Te4Se2 was simulated for λ = 1.5418 Å (Cu Kα).
Peak positions follow from Bragg's law for the DFT cell and can differ from measured ones.

Largest 10 diffraction maxima, by intensity, 2θ = 10–90°:
Position (°2θ)  I/Imax
25.93  100
43.04  48
50.81  30
42.89  24
51.07  15
78.66  11
68.81  9
68.62  6
62.22  4
62.32  4

Cell and atoms:
```
data_Ga3Cu3Te4Se2
_chemical_formula_sum 'Ga12 Cu12 Te16 Se8'
_cell_length_a 36.034
_cell_length_b 5.968
_cell_length_c 5.959
_cell_angle_alpha 90.00
_cell_angle_beta 99.42
_cell_angle_gamma 90.00
_symmetry_space_group_name_H-M 'C 1 2 1'
_symmetry_Int_Tables_number 5
_symmetry_space_group_name_Hall 'C 2y'
loop_
_atom_site_label
_atom_site_type_symbol
_atom_site_fract_x
_atom_site_fract_y
_atom_site_fract_z
_atom_site_occupancy
Ga1 Ga 0.038 0.000 0.290 1
Ga2 Ga 0.126 0.492 0.366 1
Ga3 Ga 0.207 0.490 0.968 1
Cu1 Cu 0.038 0.503 0.788 1
Cu2 Cu 0.126 0.012 0.886 1
Cu3 Cu 0.207 0.012 0.445 1
Te1 Te 0.082 0.252 0.594 1
Te2 Te 0.082 0.752 0.068 1
Te3 Te 0.167 0.762 0.667 1
Te4 Te 0.250 0.252 0.737 1
Se1 Se 0.000 0.254 0.000 1
Se2 Se 0.000 0.748 0.500 1
Se3 Se 0.166 0.244 0.166 1
```